# K5CuSb2
Simulated X-ray powder pattern, Cu Kα (weighted mean of Kα1 and Kα2). Input: a crystal structure in the Materials Project, relaxed with PBE.
Intensities are scaled so that the largest is 100.

Structure:
Cell: 10.0755 10.0755 10.0755 Å, 34.62 34.62 34.62°
Positions (direct):
K 0.0000 0.0000 0.0000
K 0.1352 0.1352 0.1352
K 0.2832 0.2832 0.2832
K 0.7168 0.7168 0.7168
K 0.8648 0.8648 0.8648
Cu 0.5000 0.5000 0.5000
Sb 0.4116 0.4116 0.4116
Sb 0.5884 0.5884 0.5884

Main lines, by angle (10° ≤ 2θ ≤ 90°):
- 17.36 deg, rel. 52
- 18.19 deg, rel. 21
- 27.92 deg, rel. 43
- 29.80 deg, rel. 100
- 36.06 deg, rel. 18
- 52.89 deg, rel. 18